[1]
Structure and calculated PXRD pattern of YEr8Tl6 (the PBE geometry in Alexandria; Cu Kα (weighted mean of Kα1 and Kα2)).

Principal peaks in the range 2θ from 10° to 80°, by angle:
| 2θ/deg | d (Å) | intensity |
| --- | --- | --- |
| 19.7 | 4.506 | 26 |
| 24.0 | 3.703 | 19 |
| 34.0 | 2.636 | 98 |
| 34.5 | 2.602 | 100 |
| 49.2 | 1.852 | 35 |
| 60.6 | 1.528 | 21 |
| 61.5 | 1.509 | 36 |
| 61.8 | 1.502 | 19 |

Structure:
abc: 8.3249 8.3249 8.3249
angles: 65.54 65.54 65.54
Sites, in units of the cell vectors:
Y1 0.0000 0.0000 0.0000
Er1 0.1091 0.7760 0.4436
Er2 0.2240 0.5564 0.8909
Er3 0.3335 0.3335 0.3335
Er4 0.4436 0.1091 0.7760
Er5 0.5564 0.8909 0.2240
Er6 0.6665 0.6665 0.6665
Er7 0.7760 0.4436 0.1091
Er8 0.8909 0.2240 0.5564
Tl1 0.0654 0.3991 0.7307
Tl2 0.2693 0.9346 0.6009
Tl3 0.3991 0.7307 0.0654
Tl4 0.6009 0.2693 0.9346
Tl5 0.7307 0.0654 0.3991
Tl6 0.9346 0.6009 0.2693

=====

[2]
Structure and calculated PXRD pattern of SrScAlPd2 (the PBE geometry in Alexandria; Cu Kα (weighted mean of Kα1 and Kα2)).

Principal peaks in the range 2θ from 10° to 80°, by angle:
| 2θ/deg | d (Å) | intensity |
| --- | --- | --- |
| 29.4 | 3.038 | 62 |
| 30.6 | 2.924 | 100 |
| 33.1 | 2.709 | 55 |
| 42.1 | 2.148 | 61 |
| 42.4 | 2.132 | 32 |
| 43.3 | 2.091 | 59 |
| 52.9 | 1.731 | 42 |
| 61.9 | 1.499 | 40 |

Structure:
abc: 6.7122 6.7122 6.7122
angles: 142.66 142.66 53.83
Sites, in units of the cell vectors:
Sr1 0.0000 0.0000 0.0000
Sc1 0.2500 0.7500 0.5000
Al1 0.7500 0.2500 0.5000
Pd1 0.3825 0.3825 0.0000
Pd2 0.6175 0.6175 0.0000

=====

[3]
Structure and calculated PXRD pattern of LuNiB4 (the PBE geometry in Alexandria; Cu Kα (weighted mean of Kα1 and Kα2)).

Principal peaks in the range 2θ from 10° to 80°, by angle:
| 2θ/deg | d (Å) | intensity |
| --- | --- | --- |
| 21.8 | 4.073 | 24 |
| 26.5 | 3.363 | 67 |
| 28.1 | 3.177 | 31 |
| 31.6 | 2.834 | 87 |
| 39.0 | 2.311 | 46 |
| 41.7 | 2.167 | 100 |
| 44.6 | 2.033 | 23 |
| 64.4 | 1.446 | 23 |

Structure:
abc: 5.8508 11.3485 3.3626
angles: 90.00 90.00 90.00
Sites, in units of the cell vectors:
Lu1 0.1276 0.1505 0.0000
Lu2 0.3724 0.6505 0.0000
Lu3 0.6276 0.3495 0.0000
Lu4 0.8724 0.8495 0.0000
Ni1 0.1346 0.4117 0.0000
Ni2 0.3654 0.9117 0.0000
Ni3 0.6346 0.0883 0.0000
Ni4 0.8654 0.5883 0.0000
B1 0.0212 0.6923 0.5000
B2 0.1138 0.5477 0.5000
B3 0.1363 0.9672 0.5000
B4 0.2138 0.8143 0.5000
B5 0.2862 0.3143 0.5000
B6 0.3637 0.4672 0.5000
B7 0.3862 0.0477 0.5000
B8 0.4788 0.1923 0.5000
B9 0.5212 0.8077 0.5000
B10 0.6138 0.9523 0.5000
B11 0.6363 0.5328 0.5000
B12 0.7138 0.6857 0.5000
B13 0.7862 0.1857 0.5000
B14 0.8637 0.0328 0.5000
B15 0.8862 0.4523 0.5000
B16 0.9788 0.3077 0.5000

=====

[4]
Structure and calculated PXRD pattern of KFe4Hg (the PBE geometry in Alexandria; Cu Kα (weighted mean of Kα1 and Kα2)).

Principal peaks in the range 2θ from 10° to 80°, by angle:
| 2θ/deg | d (Å) | intensity |
| --- | --- | --- |
| 20.9 | 4.256 | 27 |
| 24.1 | 3.686 | 25 |
| 34.4 | 2.606 | 48 |
| 40.6 | 2.223 | 100 |
| 42.5 | 2.128 | 25 |
| 61.6 | 1.505 | 18 |
| 65.8 | 1.419 | 31 |
| 72.5 | 1.303 | 20 |

Structure:
abc: 5.2125 5.2125 5.2125
angles: 60.00 60.00 60.00
Sites, in units of the cell vectors:
K1 0.0000 0.0000 0.0000
Fe1 0.1231 0.6256 0.6256
Fe2 0.6256 0.1231 0.6256
Fe3 0.6256 0.6256 0.1231
Fe4 0.6256 0.6256 0.6256
Hg1 0.2500 0.2500 0.2500

=====

[5]
Structure and calculated PXRD pattern of BaCa3W (the PBE geometry in Alexandria; Cu Kα (weighted mean of Kα1 and Kα2)).

Principal peaks in the range 2θ from 10° to 80°, by angle:
| 2θ/deg | d (Å) | intensity |
| --- | --- | --- |
| 21.5 | 4.138 | 100 |
| 30.6 | 2.926 | 56 |
| 37.7 | 2.389 | 48 |
| 43.8 | 2.069 | 41 |
| 49.2 | 1.851 | 23 |
| 54.3 | 1.689 | 14 |
| 59.1 | 1.564 | 27 |
| 72.2 | 1.309 | 18 |

Structure:
abc: 5.8519 5.8519 5.8519
angles: 90.00 90.00 90.00
Sites, in units of the cell vectors:
Ba1 0.0000 0.0000 0.0000
Ca1 0.0000 0.5000 0.5000
Ca2 0.5000 0.0000 0.5000
Ca3 0.5000 0.5000 0.0000
W1 0.5000 0.5000 0.5000

=====

[6]
Structure and calculated PXRD pattern of Ba2Sn3Pb (the PBE geometry in Alexandria; Cu Kα (weighted mean of Kα1 and Kα2)).

Principal peaks in the range 2θ from 10° to 80°, by angle:
| 2θ/deg | d (Å) | intensity |
| --- | --- | --- |
| 27.0 | 3.306 | 100 |
| 27.2 | 3.275 | 51 |
| 34.3 | 2.611 | 31 |
| 35.0 | 2.566 | 60 |
| 36.8 | 2.439 | 26 |
| 44.4 | 2.042 | 27 |
| 51.3 | 1.782 | 20 |
| 51.7 | 1.768 | 40 |

Structure:
abc: 10.2653 10.0953 7.1463
angles: 70.73 68.18 41.08
Sites, in units of the cell vectors:
Ba1 0.2486 0.7514 0.7514
Ba2 0.2500 0.2500 0.2500
Ba3 0.7500 0.7500 0.7500
Ba4 0.7514 0.2486 0.2486
Sn1 0.1745 0.6614 0.3386
Sn2 0.3375 0.3375 0.6625
Sn3 0.3386 0.8255 0.1745
Sn4 0.6614 0.1745 0.8255
Sn5 0.6625 0.6625 0.3375
Sn6 0.8255 0.3386 0.6614
Pb1 0.1659 0.1659 0.8341
Pb2 0.8341 0.8341 0.1659

=====

[7]
Structure and calculated PXRD pattern of Tl3NiBr7 (the PBE geometry in Alexandria; Cu Kα (weighted mean of Kα1 and Kα2)).

Principal peaks in the range 2θ from 10° to 80°, by angle:
| 2θ/deg | d (Å) | intensity |
| --- | --- | --- |
| 21.7 | 4.086 | 28 |
| 25.2 | 3.539 | 46 |
| 28.2 | 3.164 | 76 |
| 32.2 | 2.777 | 100 |
| 35.9 | 2.503 | 24 |
| 38.2 | 2.359 | 29 |
| 48.1 | 1.891 | 20 |
| 59.9 | 1.545 | 39 |

Structure:
abc: 10.0024 10.0024 7.0869
angles: 90.00 90.00 90.00
Sites, in units of the cell vectors:
Tl1 0.0000 0.0000 0.0000
Tl2 0.1709 0.3291 0.5000
Tl3 0.3291 0.8291 0.5000
Tl4 0.5000 0.5000 0.0000
Tl5 0.6709 0.1709 0.5000
Tl6 0.8291 0.6709 0.5000
Ni1 0.0000 0.5000 0.0000
Ni2 0.5000 0.0000 0.0000
Br1 0.0000 0.0000 0.5000
Br2 0.1178 0.6178 0.2443
Br3 0.1178 0.6178 0.7557
Br4 0.1709 0.3291 0.0000
Br5 0.3291 0.8291 0.0000
Br6 0.3822 0.1178 0.2443
Br7 0.3822 0.1178 0.7557
Br8 0.5000 0.5000 0.5000
Br9 0.6178 0.8822 0.2443
Br10 0.6178 0.8822 0.7557
Br11 0.6709 0.1709 0.0000
Br12 0.8291 0.6709 0.0000
Br13 0.8822 0.3822 0.2443
Br14 0.8822 0.3822 0.7557

=====

[8]
Structure and calculated PXRD pattern of Mg2CoAu2 (the PBE geometry in Alexandria; Cu Kα (weighted mean of Kα1 and Kα2)).

Principal peaks in the range 2θ from 10° to 80°, by angle:
| 2θ/deg | d (Å) | intensity |
| --- | --- | --- |
| 23.0 | 3.872 | 61 |
| 29.1 | 3.065 | 57 |
| 37.4 | 2.403 | 100 |
| 41.7 | 2.167 | 31 |
| 48.1 | 1.891 | 28 |
| 56.2 | 1.637 | 19 |
| 64.5 | 1.444 | 17 |
| 79.2 | 1.209 | 18 |

Structure:
abc: 6.8539 6.8539 3.8718
angles: 90.00 90.00 90.00
Sites, in units of the cell vectors:
Mg1 0.1652 0.3348 0.0000
Mg2 0.3348 0.8348 0.0000
Mg3 0.6652 0.1652 0.0000
Mg4 0.8348 0.6652 0.0000
Co1 0.0000 0.0000 0.5000
Co2 0.5000 0.5000 0.5000
Au1 0.1441 0.6441 0.5000
Au2 0.3559 0.1441 0.5000
Au3 0.6441 0.8559 0.5000
Au4 0.8559 0.3559 0.5000